Al2Au5: simulated X-ray powder pattern (λ = 1.5418 Å (Cu Kα)), based on a cell relaxed with PBE.
No peak broadening, texture or thermal motion is included.

Atomic structure:
Unit cell a=7.595 b=7.595 c=6.195 alpha=113.53 beta=113.53 gamma=50.42
Element x y z (fractional)
1 Al 0.112 0.641 0.896
2 Al 0.359 0.888 0.604
3 Al 0.641 0.112 0.396
4 Al 0.888 0.359 0.104
5 Au 0.071 0.753 0.371
6 Au 0.247 0.929 0.129
7 Au 0.250 0.285 0.525
8 Au 0.285 0.250 0.025
9 Au 0.467 0.533 0.750
10 Au 0.533 0.467 0.250
11 Au 0.715 0.750 0.975
12 Au 0.750 0.715 0.475
13 Au 0.753 0.071 0.871
14 Au 0.929 0.247 0.629

Main lines, in order of falling intensity (5 to 70 degrees two-theta):
2θ/deg  Rel. int.
40.36  100
41.09  41
39.09  41
32.94  28
65.08  26
24.49  25

Tl9In2Hg: simulated X-ray powder pattern (λ = 1.5418 Å (Cu Kα)), based on a cell relaxed with PBE.
No peak broadening, texture or thermal motion is included.

Atomic structure:
Unit cell a=5.726 b=5.726 c=11.005 alpha=90.00 beta=90.00 gamma=90.00
Element x y z (fractional)
1 Tl 0.000 0.000 0.000
2 Tl 0.000 0.000 0.334
3 Tl 0.000 0.000 0.666
4 Tl 0.000 0.500 0.168
5 Tl 0.000 0.500 0.500
6 Tl 0.000 0.500 0.832
7 Tl 0.500 0.000 0.168
8 Tl 0.500 0.000 0.500
9 Tl 0.500 0.000 0.832
10 In 0.500 0.500 0.338
11 In 0.500 0.500 0.662
12 Hg 0.500 0.500 0.000

Main lines, in order of falling intensity (5 to 70 degrees two-theta):
2θ/deg  Rel. int.
32.95  100
31.24  57
56.70  43
44.77  22
59.89  18
69.11  12

HgSe2: simulated X-ray powder pattern (λ = 1.5418 Å (Cu Kα)), based on a cell relaxed with PBE.
No peak broadening, texture or thermal motion is included.

Atomic structure:
Unit cell a=8.721 b=8.721 c=8.721 alpha=156.20 beta=156.20 gamma=33.90
Element x y z (fractional)
1 Hg 0.000 0.000 0.000
2 Se 0.228 0.228 0.000
3 Se 0.772 0.772 0.000

Main lines, in order of falling intensity (5 to 70 degrees two-theta):
2θ/deg  Rel. int.
25.34  100
21.30  88
36.74  71
41.60  63
35.30  56
55.79  29

Pr4Sm4In: simulated X-ray powder pattern (λ = 1.5418 Å (Cu Kα)), based on a cell relaxed with PBE.
No peak broadening, texture or thermal motion is included.

Atomic structure:
Unit cell a=8.132 b=8.132 c=8.132 alpha=95.49 beta=95.49 gamma=143.97
Element x y z (fractional)
1 Pr 0.161 0.161 0.322
2 Pr 0.161 0.839 0.000
3 Pr 0.839 0.161 0.000
4 Pr 0.839 0.839 0.678
5 Sm 0.166 0.500 0.666
6 Sm 0.500 0.166 0.666
7 Sm 0.500 0.834 0.334
8 Sm 0.834 0.500 0.334
9 In 0.500 0.500 0.000

Main lines, in order of falling intensity (5 to 70 degrees two-theta):
2θ/deg  Rel. int.
30.28  100
34.80  34
59.61  29
50.71  24
35.70  16
60.80  14